For LaMgTa2CuClO7, DFT lattice parameters and positions (PBE) gives the simulated XRD peak list in this record (Cu Kα, 1.54184 Å).
No peak broadening, texture or thermal motion is included.

Cell and atoms:
Cell lengths 4.0145, 4.0594, 11.8017 Å; angles 90.00, 90.00, 90.00 degrees
Space group Pmm2 (No. 25)
One atom of each set of equivalent atoms:
La: 0.0000 0.0000 0.0000 x1
Mg: 0.5000 0.0000 0.3691 x1
Ta: 0.5000 0.5000 0.1815 x1
Ta: 0.5000 0.5000 0.8259 x1
Cu: 0.5000 0.5000 0.5183 x1
Cl: 0.0000 0.0000 0.4865 x1
O: 0.0000 0.5000 0.1564 x1
O: 0.0000 0.5000 0.8624 x1
O: 0.5000 0.0000 0.1888 x1
O: 0.5000 0.0000 0.8634 x1
O: 0.5000 0.5000 0.0127 x1
O: 0.5000 0.5000 0.3509 x1
O: 0.5000 0.5000 0.6733 x1

Principal peaks in the range 2θ = 10–90°, low angle first:
22.14 deg, d = 4.015 Å, rel. 42; 22.60 deg, d = 3.934 Å, rel. 34; 26.65 deg, d = 3.344 Å, rel. 49; 26.86 deg, d = 3.319 Å, rel. 53; 31.34 deg, d = 2.854 Å, rel. 100; 31.67 deg, d = 2.825 Å, rel. 75; 31.85 deg, d = 2.810 Å, rel. 61; 44.65 deg, d = 2.030 Å, rel. 33; 45.17 deg, d = 2.007 Å, rel. 31; 56.85 deg, d = 1.620 Å, rel. 35

***

For LaMgTa2CuClO7, DFT lattice parameters and positions (PBE) gives the simulated XRD peak list in this record (Cu Kα, 1.54184 Å).
No peak broadening, texture or thermal motion is included.

Cell and atoms:
Cell lengths 4.0467, 4.0467, 11.7394 Å; angles 90.00, 90.00, 90.00 degrees
Space group P4mm (No. 99)
One atom of each set of equivalent atoms:
La: 0.0000 0.0000 0.0000 x1
Mg: 0.0000 0.0000 0.6782 x1
Ta: 0.5000 0.5000 0.1648 x1
Ta: 0.5000 0.5000 0.7957 x1
Cu: 0.5000 0.5000 0.4748 x1
Cl: 0.0000 0.0000 0.4852 x1
O: 0.0000 0.5000 0.1258 x2
O: 0.0000 0.5000 0.8003 x2
O: 0.5000 0.5000 0.3165 x1
O: 0.5000 0.5000 0.6361 x1
O: 0.5000 0.5000 0.9702 x1

Principal peaks in the range 2θ = 10–90°, low angle first:
21.96 deg, d = 4.047 Å, rel. 44; 22.72 deg, d = 3.913 Å, rel. 27; 26.76 deg, d = 3.332 Å, rel. 74; 31.26 deg, d = 2.861 Å, rel. 87; 31.81 deg, d = 2.813 Å, rel. 100; 44.79 deg, d = 2.023 Å, rel. 47; 52.95 deg, d = 1.729 Å, rel. 23; 55.98 deg, d = 1.643 Å, rel. 43; 57.02 deg, d = 1.615 Å, rel. 22; 66.47 deg, d = 1.407 Å, rel. 17

***

For La5Cu4P4Cl2O4, DFT lattice parameters and positions (PBE) gives the simulated XRD peak list in this record (Cu Kα, 1.54184 Å).
No peak broadening, texture or thermal motion is included.

Cell and atoms:
Cell lengths 4.0765, 4.0765, 40.9537 Å; angles 90.00, 90.00, 90.00 degrees
Space group I4/mmm (No. 139)
One atom of each set of equivalent atoms:
La: 0.0000 0.0000 0.0000 x2
La: 0.0000 0.0000 0.1943 x4
La: 0.0000 0.0000 0.3656 x4
Cu: 0.0000 0.5000 0.0621 x8
P: 0.0000 0.0000 0.0906 x4
P: 0.0000 0.0000 0.4726 x4
Cl: 0.0000 0.0000 0.2721 x4
O: 0.0000 0.5000 0.1642 x8

Principal peaks in the range 2θ = 10–90°, low angle first:
24.39 deg, d = 3.650 Å, rel. 56; 26.65 deg, d = 3.345 Å, rel. 27; 31.02 deg, d = 2.883 Å, rel. 30; 32.57 deg, d = 2.749 Å, rel. 100; 33.75 deg, d = 2.655 Å, rel. 29; 35.75 deg, d = 2.512 Å, rel. 30; 38.18 deg, d = 2.357 Å, rel. 31; 44.45 deg, d = 2.038 Å, rel. 56; 51.15 deg, d = 1.786 Å, rel. 23; 56.18 deg, d = 1.637 Å, rel. 41

***

For Rb2LaCuCl6, DFT lattice parameters and positions (PBE) gives the simulated XRD peak list in this record (Cu Kα, 1.54184 Å).
No peak broadening, texture or thermal motion is included.

Cell and atoms:
Cell lengths 10.6436, 10.6436, 10.6436 Å; angles 90.00, 90.00, 90.00 degrees
Space group Fm-3m (No. 225)
One atom of each set of equivalent atoms:
Rb: 0.2500 0.2500 0.2500 x8
La: 0.0000 0.0000 0.0000 x4
Cu: 0.0000 0.0000 0.5000 x4
Cl: 0.0000 0.0000 0.2602 x24

Principal peaks in the range 2θ = 10–90°, low angle first:
16.66 deg, d = 5.322 Å, rel. 15; 23.64 deg, d = 3.763 Å, rel. 100; 29.06 deg, d = 3.073 Å, rel. 15; 33.68 deg, d = 2.661 Å, rel. 75; 41.57 deg, d = 2.173 Å, rel. 46; 48.38 deg, d = 1.882 Å, rel. 50; 54.53 deg, d = 1.683 Å, rel. 21; 60.24 deg, d = 1.536 Å, rel. 17; 65.64 deg, d = 1.422 Å, rel. 24; 80.76 deg, d = 1.190 Å, rel. 21

***

For MgCu4Cl4O4, DFT lattice parameters and positions (PBE) gives the simulated XRD peak list in this record (Cu Kα, 1.54184 Å).
No peak broadening, texture or thermal motion is included.

Cell and atoms:
Cell lengths 5.2981, 6.4957, 6.5462 Å; angles 90.81, 90.19, 113.21 degrees
Space group P1 (No. 1)
One atom of each set of equivalent atoms:
Mg: 0.0000 0.0000 0.0000 x1
Cu: 0.3639 0.6405 0.1450 x1
Cu: 0.4047 0.6882 0.6449 x1
Cu: 0.7889 0.5582 0.8563 x1
Cu: 0.8770 0.6613 0.3678 x1
Cl: 0.2530 0.9624 0.6887 x1
Cl: 0.4187 0.2966 0.1565 x1
Cl: 0.7481 0.9616 0.3201 x1
Cl: 0.9602 0.3059 0.7875 x1
O: 0.0194 0.6969 0.0913 x1
O: 0.1948 0.5955 0.4044 x1
O: 0.5971 0.7479 0.9036 x1
O: 0.6406 0.5352 0.5888 x1

Principal peaks in the range 2θ = 10–90°, low angle first:
14.84 deg, d = 5.969 Å, rel. 100; 30.88 deg, d = 2.896 Å, rel. 16; 31.27 deg, d = 2.860 Å, rel. 27; 32.82 deg, d = 2.729 Å, rel. 31; 33.11 deg, d = 2.706 Å, rel. 32; 37.35 deg, d = 2.408 Å, rel. 21; 39.03 deg, d = 2.308 Å, rel. 13; 45.59 deg, d = 1.990 Å, rel. 12; 46.16 deg, d = 1.967 Å, rel. 12; 60.14 deg, d = 1.539 Å, rel. 14

***

For Sr2MgCu3Cl2O4, DFT lattice parameters and positions (PBE) gives the simulated XRD peak list in this record (Cu Kα, 1.54184 Å).
No peak broadening, texture or thermal motion is included.

Cell and atoms:
Cell lengths 7.9681, 8.0039, 8.8270 Å; angles 90.00, 116.63, 90.00 degrees
Space group C2/m (No. 12)
One atom of each set of equivalent atoms:
Sr: 0.1823 0.0000 0.3637 x4
Mg: 0.0000 0.0000 0.0000 x2
Cu: 0.0000 0.5000 0.0000 x2
Cu: 0.2500 0.2500 0.0000 x4
Cl: 0.0000 0.2500 0.5000 x4
O: 0.0000 0.2447 0.0000 x4
O: 0.2462 0.0000 0.0003 x4

Principal peaks in the range 2θ = 10–90°, low angle first:
11.21 deg, d = 7.891 Å, rel. 38; 22.54 deg, d = 3.945 Å, rel. 77; 23.11 deg, d = 3.849 Å, rel. 100; 31.69 deg, d = 2.823 Å, rel. 87; 34.09 deg, d = 2.630 Å, rel. 30; 39.24 deg, d = 2.296 Å, rel. 26; 39.55 deg, d = 2.279 Å, rel. 38; 45.32 deg, d = 2.001 Å, rel. 27; 45.54 deg, d = 1.992 Å, rel. 26; 51.64 deg, d = 1.770 Å, rel. 20

***

For MgCu3TeS3Cl, DFT lattice parameters and positions (PBE) gives the simulated XRD peak list in this record (Cu Kα, 1.54184 Å).
No peak broadening, texture or thermal motion is included.

Cell and atoms:
Cell lengths 8.5638, 7.4718, 5.8852 Å; angles 90.00, 103.76, 90.00 degrees
Space group Cm (No. 8)
One atom of each set of equivalent atoms:
Mg: 0.0000 0.0000 0.0000 x2
Cu: 0.1608 0.5000 0.9032 x2
Cu: 0.3900 0.2307 0.3914 x4
Te: 0.2857 0.0000 0.6533 x2
S: 0.2210 0.2339 0.0427 x4
S: 0.4877 0.5000 0.5398 x2
Cl: 0.0972 0.5000 0.4814 x2

Principal peaks in the range 2θ = 10–90°, low angle first:
15.50 deg, d = 5.716 Å, rel. 37; 20.44 deg, d = 4.345 Å, rel. 54; 28.54 deg, d = 3.127 Å, rel. 95; 29.41 deg, d = 3.037 Å, rel. 57; 32.88 deg, d = 2.724 Å, rel. 52; 33.54 deg, d = 2.672 Å, rel. 85; 34.53 deg, d = 2.598 Å, rel. 97; 47.55 deg, d = 1.912 Å, rel. 48; 48.75 deg, d = 1.868 Å, rel. 36; 49.22 deg, d = 1.851 Å, rel. 100

***

For MgCu3TeS3Cl, DFT lattice parameters and positions (PBE) gives the simulated XRD peak list in this record (Cu Kα, 1.54184 Å).
No peak broadening, texture or thermal motion is included.

Cell and atoms:
Cell lengths 8.3429, 8.3727, 5.9166 Å; angles 90.00, 90.00, 90.00 degrees
Space group Cm (No. 8)
One atom of each set of equivalent atoms:
Mg: 0.0000 0.0000 0.0000 x2
Cu: 0.1859 0.3235 0.1365 x4
Cu: 0.3634 0.5000 0.4908 x2
Te: 0.0437 0.5000 0.4555 x2
S: 0.2244 0.5000 0.8367 x2
S: 0.4439 0.2811 0.2741 x4
Cl: 0.2179 0.0000 0.7778 x2

Principal peaks in the range 2θ = 10–90°, low angle first:
14.99 deg, d = 5.912 Å, rel. 100; 21.25 deg, d = 4.182 Å, rel. 48; 26.10 deg, d = 3.414 Å, rel. 71; 33.92 deg, d = 2.643 Å, rel. 23; 37.26 deg, d = 2.414 Å, rel. 100; 43.26 deg, d = 2.091 Å, rel. 27; 46.04 deg, d = 1.971 Å, rel. 54; 48.69 deg, d = 1.870 Å, rel. 21; 51.22 deg, d = 1.784 Å, rel. 15; 67.14 deg, d = 1.394 Å, rel. 28

***

Copy entry 7 word for word.
For MgCu3TeS3Cl, DFT lattice parameters and positions (PBE) gives the simulated XRD peak list in this record (Cu Kα, 1.54184 Å).
No peak broadening, texture or thermal motion is included.

Cell and atoms:
Cell lengths 8.5638, 7.4718, 5.8852 Å; angles 90.00, 103.76, 90.00 degrees
Space group Cm (No. 8)
One atom of each set of equivalent atoms:
Mg: 0.0000 0.0000 0.0000 x2
Cu: 0.1608 0.5000 0.9032 x2
Cu: 0.3900 0.2307 0.3914 x4
Te: 0.2857 0.0000 0.6533 x2
S: 0.2210 0.2339 0.0427 x4
S: 0.4877 0.5000 0.5398 x2
Cl: 0.0972 0.5000 0.4814 x2

Principal peaks in the range 2θ = 10–90°, low angle first:
15.50 deg, d = 5.716 Å, rel. 37; 20.44 deg, d = 4.345 Å, rel. 54; 28.54 deg, d = 3.127 Å, rel. 95; 29.41 deg, d = 3.037 Å, rel. 57; 32.88 deg, d = 2.724 Å, rel. 52; 33.54 deg, d = 2.672 Å, rel. 85; 34.53 deg, d = 2.598 Å, rel. 97; 47.55 deg, d = 1.912 Å, rel. 48; 48.75 deg, d = 1.868 Å, rel. 36; 49.22 deg, d = 1.851 Å, rel. 100